# 1
Nd4SmZn: theoretical powder diffractogram (copper Kα), based on a DFT-relaxed cell (PBE, Alexandria).
No peak broadening, texture or thermal motion is included.

Crystal structure
```
data_Nd4SmZn
_cell_length_a 6.550
_cell_length_b 6.550
_cell_length_c 8.739
_cell_angle_alpha 111.17
_cell_angle_beta 111.17
_cell_angle_gamma 33.39
_space_group_name_H-M_alt 'P 1'
_space_group_IT_number 1
loop_
_space_group_symop_operation_xyz
'x,y,z'
loop_
_atom_site_label
_atom_site_type_symbol
_atom_site_fract_x
_atom_site_fract_y
_atom_site_fract_z
_atom_site_occupancy
Nd1 Nd 0.000 0.000 0.000 1
Nd2 Nd 0.025 0.025 0.438 1
Nd3 Nd 0.695 0.695 0.842 1
Nd4 Nd 0.721 0.721 0.282 1
Sm1 Sm 0.361 0.361 0.641 1
Zn1 Zn 0.359 0.359 0.140 1
```

Most intense lines, 5 to 70 degrees two-theta, in order of rising 2θ:
two_theta, d (Å), I (rel.)
26.02, 3.425, 9
28.45, 3.137, 11
30.36, 2.944, 27
30.82, 2.901, 14
31.36, 2.852, 100
33.19, 2.699, 60
41.35, 2.184, 9
47.49, 1.914, 11
48.37, 1.882, 11
54.63, 1.680, 11
58.15, 1.586, 19
58.78, 1.571, 12


# 2
Tm5In2Ir: theoretical powder diffractogram (copper Kα), based on a DFT-relaxed cell (PBE, Alexandria).
No peak broadening, texture or thermal motion is included.

Crystal structure
```
data_Tm5In2Ir
_cell_length_a 6.881
_cell_length_b 12.397
_cell_length_c 4.827
_cell_angle_alpha 90.00
_cell_angle_beta 90.00
_cell_angle_gamma 90.00
_space_group_name_H-M_alt 'P 1'
_space_group_IT_number 1
loop_
_space_group_symop_operation_xyz
'x,y,z'
loop_
_atom_site_label
_atom_site_type_symbol
_atom_site_fract_x
_atom_site_fract_y
_atom_site_fract_z
_atom_site_occupancy
Tm1 Tm 0.000 0.000 0.000 1
Tm2 Tm 0.123 0.288 0.000 1
Tm3 Tm 0.173 0.585 0.500 1
Tm4 Tm 0.327 0.085 0.500 1
Tm5 Tm 0.377 0.788 0.000 1
Tm6 Tm 0.500 0.500 0.000 1
Tm7 Tm 0.623 0.212 0.000 1
Tm8 Tm 0.673 0.915 0.500 1
Tm9 Tm 0.827 0.415 0.500 1
Tm10 Tm 0.877 0.712 0.000 1
In1 In 0.104 0.840 0.500 1
In2 In 0.396 0.340 0.500 1
In3 In 0.604 0.660 0.500 1
In4 In 0.896 0.160 0.500 1
Ir1 Ir 0.000 0.500 0.000 1
Ir2 Ir 0.500 0.000 0.000 1
```

Most intense lines, 5 to 70 degrees two-theta, in order of rising 2θ:
two_theta, d (Å), I (rel.)
26.75, 3.332, 22
31.32, 2.856, 27
31.66, 2.826, 39
31.94, 2.802, 30
32.77, 2.733, 100
33.90, 2.644, 32
34.39, 2.608, 78
35.15, 2.553, 43
37.25, 2.414, 65
43.07, 2.100, 21
49.68, 1.835, 22
65.35, 1.428, 24